This entry pairs a crystal structure of Na2MgZnGa2Pd2 with its computed powder X-ray diffraction pattern. Radiation: Cu Kα. Structure: DFT lattice parameters and positions (PBE).

Cell and atoms:
Cell: 4.573 4.573 6.498 Å, 90.00 90.00 90.00°
Space group P-4m2 (No. 115)
Asymmetric unit:
1 Na 0.000 0.500 0.239 x2
2 Mg 0.000 0.000 0.500 x1
3 Zn 0.500 0.500 0.000 x1
4 Ga 0.000 0.000 0.000 x1
5 Ga 0.500 0.500 0.500 x1
6 Pd 0.000 0.500 0.755 x2

The 12 most intense peaks (2θ from 10° to 90°), in order of rising 2θ:
| 2θ (°) | d (Å) | I/Imax | index |
| --- | --- | --- | --- |
| 13.63 | 6.498 | 3 | 0 0 1 |
| 23.79 | 3.740 | 30 | 1 0 1 |
| 39.34 | 2.290 | 100 | 2 0 0 |
| 46.38 | 1.958 | 5 | 1 0 3 |
| 46.55 | 1.951 | 10 | 2 1 1 |
| 56.66 | 1.625 | 5 | 0 0 4 |
| 56.95 | 1.617 | 11 | 2 2 0 |
| 62.45 | 1.487 | 4 | 2 1 3 |
| 71.20 | 1.324 | 11 | 2 0 4 |
| 71.39 | 1.321 | 21 | 3 1 2 |
| 84.55 | 1.146 | 7 | 2 2 4 |
| 84.80 | 1.143 | 3 | 4 0 0 |

This entry pairs a crystal structure of PrGd2Ag4Pb4 with its computed powder X-ray diffraction pattern. Radiation: Cu Kα. Structure: DFT lattice parameters and positions (PBE).

Cell and atoms:
Cell: 4.680 7.596 15.750 Å, 90.00 90.00 90.00°
Space group Immm (No. 71)
Asymmetric unit:
1 Pr 0.000 0.000 0.000 x2
2 Gd 0.000 0.500 0.129 x4
3 Ag 0.000 0.304 0.329 x8
4 Pb 0.000 0.000 0.218 x4
5 Pb 0.000 0.197 0.500 x4

The 12 most intense peaks (2θ from 10° to 90°), in order of rising 2θ:
| 2θ (°) | d (Å) | I/Imax | index |
| --- | --- | --- | --- |
| 30.73 | 2.910 | 24 | 0 1 5 |
| 30.85 | 2.899 | 100 | 1 2 1 |
| 31.96 | 2.801 | 90 | 1 1 4 |
| 34.16 | 2.625 | 18 | 0 0 6 |
| 38.47 | 2.340 | 48 | 2 0 0 |
| 39.51 | 2.281 | 22 | 0 3 3 |
| 41.85 | 2.158 | 19 | 0 2 6 |
| 41.97 | 2.153 | 35 | 1 2 5 |
| 42.17 | 2.143 | 30 | 1 3 2 |
| 56.33 | 1.633 | 15 | 2 3 3 |
| 63.03 | 1.475 | 18 | 2 4 0 |
| 69.26 | 1.357 | 20 | 1 5 4 |

This entry pairs a crystal structure of Rb2Co3S4 with its computed powder X-ray diffraction pattern. Radiation: Cu Kα. Structure: DFT lattice parameters and positions (PBE).

Cell and atoms:
Cell: 5.341 10.752 12.879 Å, 90.00 90.00 90.00°
Space group Ibam (No. 72)
Asymmetric unit:
1 Rb 0.246 0.125 0.000 x8
2 Co 0.000 0.253 0.250 x8
3 Co 0.000 0.500 0.250 x4
4 S 0.249 0.125 0.335 x16

The 12 most intense peaks (2θ from 10° to 90°), in order of rising 2θ:
| 2θ (°) | d (Å) | I/Imax | index |
| --- | --- | --- | --- |
| 13.75 | 6.439 | 15 | 0 0 2 |
| 24.49 | 3.635 | 21 | 1 2 1 |
| 27.71 | 3.220 | 30 | 0 0 4 |
| 31.49 | 2.841 | 100 | 1 2 3 |
| 36.21 | 2.480 | 32 | 0 4 2 |
| 36.42 | 2.467 | 31 | 2 0 2 |
| 48.02 | 1.894 | 37 | 2 4 0 |
| 54.73 | 1.677 | 27 | 0 4 6 |
| 54.88 | 1.673 | 24 | 2 0 6 |
| 56.35 | 1.633 | 16 | 2 4 4 |
| 58.42 | 1.580 | 15 | 1 6 3 |
| 58.71 | 1.573 | 15 | 3 2 3 |

This entry pairs a crystal structure of Pr2Ho2CICl4 with its computed powder X-ray diffraction pattern. Radiation: Cu Kα. Structure: DFT lattice parameters and positions (PBE).

Cell and atoms:
Cell: 17.283 3.897 8.952 Å, 90.00 103.22 90.00°
Space group C2/m (No. 12)
Asymmetric unit:
1 Pr 0.002 0.000 0.305 x4
2 Ho 0.142 0.500 0.572 x4
3 C 0.000 0.500 0.500 x2
4 I 0.000 0.500 0.000 x2
5 Cl 0.169 0.000 0.787 x4
6 Cl 0.176 0.000 0.379 x4

The 12 most intense peaks (2θ from 10° to 90°), in order of rising 2θ:
| 2θ (°) | d (Å) | I/Imax | index |
| --- | --- | --- | --- |
| 10.15 | 8.715 | 95 | 0 0 1 |
| 10.52 | 8.413 | 64 | 2 0 0 |
| 16.23 | 5.461 | 23 | 2 0 1 |
| 21.25 | 4.181 | 27 | 4 0 -1 |
| 28.43 | 3.139 | 24 | 3 1 -1 |
| 30.42 | 2.938 | 100 | 1 1 -2 |
| 31.00 | 2.885 | 37 | 3 1 1 |
| 31.91 | 2.804 | 38 | 6 0 0 |
| 34.93 | 2.569 | 36 | 2 0 3 |
| 38.02 | 2.367 | 22 | 1 1 -3 |
| 44.19 | 2.049 | 23 | 5 1 2 |
| 45.15 | 2.008 | 24 | 7 1 -2 |

This entry pairs a crystal structure of CdPbSeO with its computed powder X-ray diffraction pattern. Radiation: Cu Kα. Structure: DFT lattice parameters and positions (PBE).

Cell and atoms:
Cell: 4.0660 4.0660 13.0401 Å, 90.00 90.00 120.00°
Space group P6_3mc (No. 186)
Asymmetric unit:
1 Cd 0.0000 0.0000 0.0000 x2
2 Pb 0.3333 0.6667 0.2722 x2
3 Se 0.3333 0.6667 0.5947 x2
4 O 0.0000 0.0000 0.3332 x2

The 12 most intense peaks (2θ from 10° to 90°), in order of rising 2θ:
| 2θ (°) | d (Å) | I/Imax | index |
| --- | --- | --- | --- |
| 26.21 | 3.400 | 73 | 1 0 1 |
| 27.36 | 3.260 | 36 | 0 0 4 |
| 28.82 | 3.098 | 85 | 1 0 2 |
| 32.73 | 2.736 | 100 | 1 0 3 |
| 43.17 | 2.096 | 14 | 1 0 5 |
| 44.57 | 2.033 | 61 | 1 1 0 |
| 49.27 | 1.849 | 33 | 1 0 6 |
| 53.09 | 1.725 | 35 | 1 1 4 |
| 53.94 | 1.700 | 15 | 2 0 2 |
| 56.39 | 1.632 | 24 | 2 0 3 |
| 72.48 | 1.304 | 14 | 0 0 10 |
| 74.59 | 1.272 | 27 | 2 1 3 |

This entry pairs a crystal structure of TbDy2Ga3Ni3 with its computed powder X-ray diffraction pattern. Radiation: Cu Kα. Structure: DFT lattice parameters and positions (PBE).

Cell and atoms:
Cell: 3.781 12.188 7.035 Å, 90.00 90.00 90.00°
Space group Amm2 (No. 38)
Asymmetric unit:
1 Tb 0.000 0.000 0.000 x2
2 Dy 0.000 0.206 0.619 x4
3 Ga 0.500 0.000 0.657 x2
4 Ga 0.500 0.123 0.290 x4
5 Ni 0.000 0.000 0.413 x2
6 Ni 0.500 0.167 0.912 x4

The 12 most intense peaks (2θ from 10° to 90°), in order of rising 2θ:
| 2θ (°) | d (Å) | I/Imax | index |
| --- | --- | --- | --- |
| 25.32 | 3.518 | 15 | 0 0 2 |
| 29.32 | 3.047 | 17 | 0 4 0 |
| 34.84 | 2.575 | 100 | 1 3 1 |
| 37.93 | 2.372 | 84 | 1 2 2 |
| 39.11 | 2.303 | 46 | 0 5 1 |
| 44.61 | 2.031 | 20 | 0 6 0 |
| 48.14 | 1.890 | 22 | 2 0 0 |
| 54.28 | 1.690 | 18 | 0 5 3 |
| 59.96 | 1.543 | 29 | 1 2 4 |
| 63.69 | 1.461 | 21 | 2 5 1 |
| 72.03 | 1.311 | 21 | 1 8 2 |
| 75.45 | 1.260 | 14 | 2 5 3 |

This entry pairs a crystal structure of ZrBNO with its computed powder X-ray diffraction pattern. Radiation: Cu Kα. Structure: DFT lattice parameters and positions (PBE).

Cell and atoms:
Cell: 4.569 7.844 4.332 Å, 90.00 90.00 90.00°
Space group Pca2_1 (No. 29)
Asymmetric unit:
1 Zr 0.001 0.155 0.000 x4
2 B 0.100 0.566 0.921 x4
3 N 0.099 0.563 0.567 x4
4 O 0.006 0.238 0.501 x4

The 12 most intense peaks (2θ from 10° to 90°), in order of rising 2θ:
| 2θ (°) | d (Å) | I/Imax | index |
| --- | --- | --- | --- |
| 11.28 | 7.844 | 55 | 0 1 0 |
| 30.64 | 2.918 | 93 | 1 1 1 |
| 34.30 | 2.615 | 47 | 0 3 0 |
| 36.64 | 2.453 | 100 | 1 2 1 |
| 39.44 | 2.285 | 41 | 2 0 0 |
| 41.70 | 2.166 | 38 | 0 0 2 |
| 53.25 | 1.720 | 23 | 2 3 0 |
| 55.06 | 1.668 | 22 | 0 3 2 |
| 55.21 | 1.664 | 18 | 1 4 1 |
| 58.74 | 1.572 | 22 | 2 0 2 |
| 66.62 | 1.404 | 25 | 1 5 1 |
| 69.82 | 1.347 | 19 | 2 3 2 |

This entry pairs a crystal structure of Os6PdS2 with its computed powder X-ray diffraction pattern. Radiation: Cu Kα. Structure: DFT lattice parameters and positions (PBE).

Cell and atoms:
Cell: 3.874 6.128 6.539 Å, 73.36 89.82 71.69°
Space group P-1 (No. 2)
Asymmetric unit:
1 Os 0.064 0.376 0.365 x2
2 Os 0.277 0.945 0.645 x2
3 Os 0.393 0.713 0.358 x2
4 Pd 0.500 0.500 0.000 x1
5 S 0.191 0.122 0.119 x2

The 12 most intense peaks (2θ from 10° to 90°), in order of rising 2θ:
| 2θ (°) | d (Å) | I/Imax | index |
| --- | --- | --- | --- |
| 14.20 | 6.237 | 78 | 0 0 1 |
| 33.45 | 2.679 | 9 | 1 -1 0 |
| 39.33 | 2.291 | 100 | -1 1 2 |
| 39.51 | 2.281 | 33 | 1 2 -1 |
| 43.53 | 2.079 | 19 | 0 0 3 |
| 46.88 | 1.938 | 45 | 2 1 0 |
| 49.28 | 1.849 | 15 | 1 2 3 |
| 49.37 | 1.846 | 15 | -1 1 3 |
| 65.73 | 1.421 | 11 | 0 3 4 |
| 66.04 | 1.415 | 11 | 2 1 -3 |
| 81.81 | 1.177 | 12 | -1 4 3 |
| 81.94 | 1.176 | 12 | 3 0 -2 |

This entry pairs a crystal structure of Gd3Al with its computed powder X-ray diffraction pattern. Radiation: Cu Kα. Structure: DFT lattice parameters and positions (PBE).

Cell and atoms:
Cell: 4.797 4.797 4.797 Å, 90.00 90.00 90.00°
Space group Pm-3m (No. 221)
Asymmetric unit:
1 Gd 0.000 0.000 0.500 x3
2 Al 0.500 0.500 0.500 x1

The 12 most intense peaks (2θ from 10° to 90°), in order of rising 2θ:
| 2θ (°) | d (Å) | I/Imax | index |
| --- | --- | --- | --- |
| 18.49 | 4.797 | 19 | 1 0 0 |
| 26.27 | 3.392 | 17 | 1 1 0 |
| 32.32 | 2.770 | 100 | 1 1 1 |
| 37.49 | 2.399 | 50 | 2 0 0 |
| 42.12 | 2.145 | 10 | 2 1 0 |
| 46.36 | 1.959 | 8 | 2 1 1 |
| 54.07 | 1.696 | 35 | 2 2 0 |
| 57.64 | 1.599 | 5 | 3 0 0 |
| 64.41 | 1.446 | 41 | 3 1 1 |
| 67.65 | 1.385 | 12 | 2 2 2 |
| 80.00 | 1.199 | 6 | 4 0 0 |
| 88.93 | 1.101 | 18 | 3 3 1 |

This entry pairs a crystal structure of Li4Tl2IrPt with its computed powder X-ray diffraction pattern. Radiation: Cu Kα. Structure: DFT lattice parameters and positions (PBE).

Cell and atoms:
Cell: 4.522 4.522 6.407 Å, 90.00 90.00 90.00°
Space group P-4m2 (No. 115)
Asymmetric unit:
1 Li 0.000 0.000 0.000 x1
2 Li 0.000 0.500 0.250 x2
3 Li 0.500 0.500 0.500 x1
4 Tl 0.000 0.500 0.744 x2
5 Ir 0.000 0.000 0.500 x1
6 Pt 0.500 0.500 0.000 x1

The 10 most intense peaks (2θ from 10° to 90°), in order of rising 2θ:
| 2θ (°) | d (Å) | I/Imax | index |
| --- | --- | --- | --- |
| 24.09 | 3.695 | 100 | 1 0 1 |
| 39.84 | 2.263 | 91 | 2 0 0 |
| 47.10 | 1.930 | 51 | 2 1 1 |
| 57.54 | 1.602 | 5 | 0 0 4 |
| 57.65 | 1.599 | 11 | 2 2 0 |
| 63.35 | 1.468 | 21 | 3 0 1 |
| 72.34 | 1.306 | 32 | 3 1 2 |
| 77.45 | 1.232 | 8 | 3 0 3 |
| 77.55 | 1.231 | 8 | 3 2 1 |
| 85.91 | 1.131 | 10 | 4 0 0 |

This entry pairs a crystal structure of Li2Cd2SbAs with its computed powder X-ray diffraction pattern. Radiation: Cu Kα. Structure: DFT lattice parameters and positions (PBE).

Cell and atoms:
Cell: 11.169 4.629 11.228 Å, 90.00 110.66 90.00°
Space group Pm (No. 6)
Asymmetric unit:
1 Li 0.000 0.000 0.000 x1
2 Li 0.085 0.500 0.344 x1
3 Li 0.207 0.000 0.725 x1
4 Li 0.343 0.500 0.150 x1
5 Li 0.487 0.000 0.532 x1
6 Li 0.612 0.500 0.908 x1
7 Li 0.719 0.000 0.284 x1
8 Li 0.848 0.500 0.665 x1
9 Cd 0.080 0.500 0.607 x1
10 Cd 0.251 0.000 0.001 x1
11 Cd 0.352 0.500 0.401 x1
12 Cd 0.491 0.000 0.785 x1
13 Cd 0.603 0.500 0.148 x1
14 Cd 0.743 0.000 0.539 x1
15 Cd 0.856 0.500 0.907 x1
16 Cd 0.956 0.000 0.246 x1
17 Sb 0.105 0.500 0.878 x1
18 Sb 0.223 0.000 0.256 x1
19 Sb 0.354 0.500 0.653 x1
20 Sb 0.608 0.500 0.404 x1
21 As 0.497 0.000 0.028 x1
22 As 0.738 0.000 0.780 x1
23 As 0.844 0.500 0.140 x1
24 As 0.969 0.000 0.498 x1

The 12 most intense peaks (2θ from 10° to 90°), in order of rising 2θ:
| 2θ (°) | d (Å) | I/Imax | index |
| --- | --- | --- | --- |
| 23.77 | 3.744 | 100 | 1 1 1 |
| 23.91 | 3.722 | 34 | 3 0 -1 |
| 38.91 | 2.314 | 21 | 0 2 0 |
| 39.12 | 2.303 | 18 | 4 0 -4 |
| 39.45 | 2.284 | 33 | 0 1 4 |
| 39.61 | 2.275 | 36 | 4 1 0 |
| 46.17 | 1.966 | 32 | 3 2 -1 |
| 46.36 | 1.959 | 10 | 5 1 -3 |
| 47.07 | 1.931 | 13 | 3 1 3 |
| 56.37 | 1.632 | 12 | 4 2 -4 |
| 62.64 | 1.483 | 6 | 1 2 5 |
| 70.96 | 1.328 | 10 | 4 3 0 |

This entry pairs a crystal structure of H8IrBr6N2 with its computed powder X-ray diffraction pattern. Radiation: Cu Kα. Structure: DFT lattice parameters and positions (PBE).

Cell and atoms:
Cell: 10.298 10.298 10.298 Å, 90.00 90.00 90.00°
Space group Fm-3m (No. 225)
Asymmetric unit:
1 H 0.192 0.192 0.192 x32
2 Ir 0.000 0.000 0.500 x4
3 Br 0.000 0.000 0.258 x24
4 N 0.250 0.250 0.250 x8

The 12 most intense peaks (2θ from 10° to 90°), in order of rising 2θ:
| 2θ (°) | d (Å) | I/Imax | index |
| --- | --- | --- | --- |
| 14.90 | 5.946 | 85 | 1 1 1 |
| 17.22 | 5.149 | 100 | 2 0 0 |
| 28.75 | 3.105 | 40 | 3 1 1 |
| 30.06 | 2.973 | 41 | 2 2 2 |
| 34.85 | 2.575 | 90 | 4 0 0 |
| 39.12 | 2.303 | 55 | 4 2 0 |
| 45.78 | 1.982 | 22 | 5 1 1 |
| 50.11 | 1.820 | 62 | 4 4 0 |
| 52.58 | 1.741 | 21 | 5 3 1 |
| 53.38 | 1.716 | 29 | 6 0 0 |
| 62.48 | 1.486 | 21 | 4 4 4 |
| 84.07 | 1.151 | 27 | 8 4 0 |